Calculated PXRD pattern
Compound: Pm2CdP2N6
Radiation: λ = 1.5418 Å (Cu Kα)
Structure: the PBE geometry in Alexandria
No peak broadening, texture or thermal motion is included.

Unit cell a=5.749 b=5.749 c=6.275 alpha=90.00 beta=90.00 gamma=120.00
Atoms (fractional coordinates):
1 Pm 0.333 0.667 0.332
2 Pm 0.667 0.333 0.668
3 Cd 0.000 0.000 0.000
4 P 0.333 0.667 0.792
5 P 0.667 0.333 0.208
6 N 0.074 0.377 0.770
7 N 0.304 0.926 0.770
8 N 0.377 0.304 0.230
9 N 0.623 0.696 0.770
10 N 0.696 0.074 0.230
11 N 0.926 0.623 0.230

The 10 most intense peaks (5° ≤ 2θ ≤ 70°), sorted by position:
22.80 deg, I 1000
31.11 deg, I 817
33.77 deg, I 772
38.92 deg, I 340
46.57 deg, I 292
50.64 deg, I 286
54.24 deg, I 255
55.36 deg, I 211
57.07 deg, I 309
62.03 deg, I 122


Calculated PXRD pattern
Compound: La2TmP2N6
Radiation: λ = 1.5418 Å (Cu Kα)
Structure: the PBE geometry in Alexandria
No peak broadening, texture or thermal motion is included.

Unit cell a=6.684 b=6.684 c=6.684 alpha=49.64 beta=49.64 gamma=49.64
Atoms (fractional coordinates):
1 La 0.210 0.210 0.210
2 La 0.790 0.790 0.790
3 Tm 0.000 0.000 0.000
4 P 0.411 0.411 0.411
5 P 0.589 0.589 0.589
6 N 0.251 0.738 0.738
7 N 0.262 0.262 0.749
8 N 0.262 0.749 0.262
9 N 0.738 0.251 0.738
10 N 0.738 0.738 0.251
11 N 0.749 0.262 0.262

The 10 most intense peaks (5° ≤ 2θ ≤ 70°), sorted by position:
18.95 deg, I 449
27.40 deg, I 382
31.45 deg, I 1000
31.90 deg, I 940
42.54 deg, I 236
45.41 deg, I 390
55.72 deg, I 171
56.56 deg, I 372
56.84 deg, I 184
57.59 deg, I 197


Calculated PXRD pattern
Compound: Rb2NaPa2O7
Radiation: λ = 1.5418 Å (Cu Kα)
Structure: the PBE geometry in Alexandria
No peak broadening, texture or thermal motion is included.

Unit cell a=11.903 b=11.903 c=11.903 alpha=158.73 beta=158.73 gamma=30.25
Atoms (fractional coordinates):
1 Rb 0.191 0.191 0.000
2 Rb 0.809 0.809 0.000
3 Na 0.000 0.000 0.000
4 Pa 0.406 0.406 0.000
5 Pa 0.594 0.594 0.000
6 O 0.090 0.590 0.500
7 O 0.318 0.318 0.000
8 O 0.410 0.910 0.500
9 O 0.500 0.500 0.000
10 O 0.590 0.090 0.500
11 O 0.682 0.682 0.000
12 O 0.910 0.410 0.500

The 10 most intense peaks (5° ≤ 2θ ≤ 70°), sorted by position:
15.42 deg, I 282
20.59 deg, I 625
28.10 deg, I 1000
28.74 deg, I 548
39.20 deg, I 136
41.10 deg, I 305
46.39 deg, I 154
49.33 deg, I 203
50.53 deg, I 414
58.09 deg, I 167


Copy entry 1 word for word.
Calculated PXRD pattern
Compound: Pm2CdP2N6
Radiation: λ = 1.5418 Å (Cu Kα)
Structure: the PBE geometry in Alexandria
No peak broadening, texture or thermal motion is included.

Unit cell a=5.749 b=5.749 c=6.275 alpha=90.00 beta=90.00 gamma=120.00
Atoms (fractional coordinates):
1 Pm 0.333 0.667 0.332
2 Pm 0.667 0.333 0.668
3 Cd 0.000 0.000 0.000
4 P 0.333 0.667 0.792
5 P 0.667 0.333 0.208
6 N 0.074 0.377 0.770
7 N 0.304 0.926 0.770
8 N 0.377 0.304 0.230
9 N 0.623 0.696 0.770
10 N 0.696 0.074 0.230
11 N 0.926 0.623 0.230

The 10 most intense peaks (5° ≤ 2θ ≤ 70°), sorted by position:
22.80 deg, I 1000
31.11 deg, I 817
33.77 deg, I 772
38.92 deg, I 340
46.57 deg, I 292
50.64 deg, I 286
54.24 deg, I 255
55.36 deg, I 211
57.07 deg, I 309
62.03 deg, I 122